# 1
Calculated powder X-ray diffraction pattern
Compound: CaMgNi4
Radiation: Cu Kα (weighted mean of Kα1 and Kα2)
Structure: a cell relaxed with GGA-PBE
Peak positions follow from Bragg's law for the DFT cell and can differ from measured ones.

Largest 10 diffraction maxima, low angle first, 10 to 90 degrees two-theta:
2θ 22.0, d = 4.039 Å, I = 43
2θ 36.3, d = 2.473 Å, I = 12
2θ 42.9, d = 2.109 Å, I = 100
2θ 44.9, d = 2.020 Å, I = 62
2θ 52.3, d = 1.749 Å, I = 16
2θ 57.4, d = 1.605 Å, I = 9
2θ 65.3, d = 1.428 Å, I = 4
2θ 69.9, d = 1.346 Å, I = 28
2θ 77.1, d = 1.237 Å, I = 26
2θ 81.4, d = 1.183 Å, I = 6

Cell: 4.9469 4.9469 4.9469 Å, 60.00 60.00 60.00°
Element x y z (fractional)
Ca: 0.0000 0.0000 0.0000
Mg: 0.7500 0.7500 0.7500
Ni: 0.3757 0.3757 0.3757
Ni: 0.3757 0.3757 0.8729
Ni: 0.3757 0.8729 0.3757
Ni: 0.8729 0.3757 0.3757

---

# 2
Calculated powder X-ray diffraction pattern
Compound: Li2NbP2O8
Radiation: Cu Kα (weighted mean of Kα1 and Kα2)
Structure: a cell relaxed with GGA-PBE
Peak positions follow from Bragg's law for the DFT cell and can differ from measured ones.

Largest 10 diffraction maxima, low angle first, 10 to 90 degrees two-theta:
2θ 11.5, d = 7.721 Å, I = 79
2θ 23.8, d = 3.743 Å, I = 100
2θ 31.2, d = 2.866 Å, I = 42
2θ 36.4, d = 2.470 Å, I = 22
2θ 40.9, d = 2.206 Å, I = 16
2θ 43.5, d = 2.081 Å, I = 11
2θ 43.9, d = 2.062 Å, I = 15
2θ 48.7, d = 1.871 Å, I = 11
2θ 58.3, d = 1.583 Å, I = 14
2θ 60.9, d = 1.521 Å, I = 12

Cell: 4.9410 4.9410 7.7211 Å, 90.00 90.00 120.00°
Element x y z (fractional)
Li: 0.3333 0.6667 0.1669
Li: 0.6667 0.3333 0.8331
Nb: 0.0000 0.0000 0.5000
P: 0.3333 0.6667 0.7333
P: 0.6667 0.3333 0.2667
O: 0.0376 0.6759 0.6609
O: 0.3241 0.3617 0.6609
O: 0.3333 0.6667 0.9270
O: 0.3617 0.0376 0.3391
O: 0.6383 0.9624 0.6609
O: 0.6667 0.3333 0.0730
O: 0.6759 0.6383 0.3391
O: 0.9624 0.3241 0.3391

---

# 3
Calculated powder X-ray diffraction pattern
Compound: YMg14Ti
Radiation: Cu Kα (weighted mean of Kα1 and Kα2)
Structure: a cell relaxed with GGA-PBE
Peak positions follow from Bragg's law for the DFT cell and can differ from measured ones.

Largest 10 diffraction maxima, low angle first, 10 to 90 degrees two-theta:
2θ 15.8, d = 5.616 Å, I = 17
2θ 23.5, d = 3.780 Å, I = 13
2θ 31.9, d = 2.808 Å, I = 26
2θ 35.1, d = 2.556 Å, I = 24
2θ 36.5, d = 2.461 Å, I = 100
2θ 48.1, d = 1.890 Å, I = 16
2θ 56.8, d = 1.621 Å, I = 17
2θ 63.9, d = 1.457 Å, I = 18
2θ 68.5, d = 1.369 Å, I = 19
2θ 69.4, d = 1.354 Å, I = 14

Cell: 6.4852 6.4852 10.2238 Å, 90.00 90.00 120.00°
Element x y z (fractional)
Y: 0.0000 0.0000 0.0000
Mg: 0.0013 0.5006 0.5000
Mg: 0.0081 0.5041 0.0000
Mg: 0.1659 0.3318 0.2571
Mg: 0.1659 0.3318 0.7429
Mg: 0.1659 0.8341 0.2571
Mg: 0.1659 0.8341 0.7429
Mg: 0.4959 0.5041 0.0000
Mg: 0.4959 0.9919 0.0000
Mg: 0.4994 0.5006 0.5000
Mg: 0.4994 0.9987 0.5000
Mg: 0.6667 0.3333 0.2468
Mg: 0.6667 0.3333 0.7532
Mg: 0.6682 0.8341 0.2571
Mg: 0.6682 0.8341 0.7429
Ti: 0.0000 0.0000 0.5000

---

# 4
Calculated powder X-ray diffraction pattern
Compound: CsC2O2
Radiation: Cu Kα (weighted mean of Kα1 and Kα2)
Structure: a cell relaxed with GGA-PBE
Peak positions follow from Bragg's law for the DFT cell and can differ from measured ones.

Largest 10 diffraction maxima, low angle first, 10 to 90 degrees two-theta:
2θ 14.6, d = 6.087 Å, I = 32
2θ 23.3, d = 3.811 Å, I = 22
2θ 23.6, d = 3.770 Å, I = 100
2θ 23.7, d = 3.747 Å, I = 25
2θ 24.8, d = 3.584 Å, I = 21
2θ 26.3, d = 3.386 Å, I = 65
2θ 31.0, d = 2.881 Å, I = 19
2θ 34.6, d = 2.590 Å, I = 43
2θ 35.0, d = 2.564 Å, I = 25
2θ 44.7, d = 2.027 Å, I = 24

Cell: 6.7873 6.7873 4.8453 Å, 91.03 91.03 63.75°
Element x y z (fractional)
Cs: 0.1566 0.1566 0.3034
Cs: 0.8434 0.8434 0.6966
C: 0.3483 0.5551 0.0988
C: 0.4449 0.6517 0.9012
C: 0.5551 0.3483 0.0988
C: 0.6517 0.4449 0.9012
O: 0.1639 0.6229 0.2146
O: 0.3771 0.8361 0.7854
O: 0.6229 0.1639 0.2146
O: 0.8361 0.3771 0.7854

---

# 5
Calculated powder X-ray diffraction pattern
Compound: KLiMg6
Radiation: Cu Kα (weighted mean of Kα1 and Kα2)
Structure: a cell relaxed with GGA-PBE
Peak positions follow from Bragg's law for the DFT cell and can differ from measured ones.

Largest 10 diffraction maxima, low angle first, 10 to 90 degrees two-theta:
2θ 15.5, d = 5.701 Å, I = 14
2θ 22.6, d = 3.934 Å, I = 20
2θ 31.4, d = 2.851 Å, I = 26
2θ 33.0, d = 2.717 Å, I = 43
2θ 34.3, d = 2.616 Å, I = 60
2θ 35.6, d = 2.524 Å, I = 100
2θ 46.2, d = 1.967 Å, I = 17
2θ 54.1, d = 1.696 Å, I = 19
2θ 60.6, d = 1.529 Å, I = 19
2θ 64.8, d = 1.439 Å, I = 28

Cell: 5.4341 6.7929 6.7929 Å, 57.07 90.00 90.00°
Element x y z (fractional)
K: 0.0000 0.0000 0.0000
Li: 0.0000 0.4976 0.4976
Mg: 0.0000 0.0010 0.4971
Mg: 0.0000 0.4971 0.0010
Mg: 0.5000 0.1706 0.6451
Mg: 0.5000 0.1720 0.1720
Mg: 0.5000 0.6451 0.1706
Mg: 0.5000 0.6622 0.6622